# 1
For Li2VO2F, a cell relaxed with PBE+U gives the theoretical X-ray diffraction stick pattern in this record (a wavelength of 1.5418 Å).
Kinematic intensities with the Lorentz-polarization factor, no thermal factor.

Unit cell a=5.1913 b=5.9931 c=7.3698 alpha=90.10 beta=90.22 gamma=90.09
Element x y z (fractional)
Li: 0.0000 0.0000 0.0000
Li: 0.0015 0.4656 0.0000
Li: 0.1412 0.2332 0.7176
Li: 0.1846 0.7315 0.6991
Li: 0.5024 0.7332 0.0066
Li: 0.5370 0.2316 0.9994
Li: 0.6959 0.9916 0.7232
Li: 0.6974 0.4720 0.7232
V: 0.3387 0.4899 0.3483
V: 0.3394 0.9749 0.3470
V: 0.8448 0.7323 0.3543
V: 0.8529 0.2322 0.3516
O: 0.0122 0.4809 0.5035
O: 0.0120 0.9837 0.5023
O: 0.1753 0.7315 0.1959
O: 0.1884 0.2324 0.2078
O: 0.4998 0.7333 0.5015
O: 0.6768 0.4798 0.2098
O: 0.6769 0.9844 0.2083
O: 0.8421 0.2323 0.8575
F: 0.3448 0.9753 0.8512
F: 0.3457 0.4894 0.8517
F: 0.5091 0.2329 0.5162
F: 0.8428 0.7324 0.8542

The 6 most intense peaks (2θ from 10° to 90°), by intensity:
- 12.01°, rel. 100
- 42.56°, rel. 52
- 24.15°, rel. 30
- 42.70°, rel. 26
- 34.56°, rel. 24
- 61.89°, rel. 20

# 2
For Li2VO2F, a cell relaxed with PBE+U gives the theoretical X-ray diffraction stick pattern in this record (a wavelength of 1.5418 Å).
Kinematic intensities with the Lorentz-polarization factor, no thermal factor.

Unit cell a=7.9755 b=7.9755 c=10.3939 alpha=109.60 beta=109.60 gamma=21.86
Element x y z (fractional)
Li: 0.0000 0.0000 0.0000
Li: 0.0035 0.0035 0.5068
Li: 0.1414 0.1414 0.8890
Li: 0.1503 0.1503 0.4021
Li: 0.4948 0.4948 0.2451
Li: 0.5124 0.5124 0.7277
Li: 0.6384 0.6384 0.6605
Li: 0.6554 0.6554 0.1553
V: 0.3142 0.3142 0.8277
V: 0.3252 0.3252 0.3214
V: 0.8244 0.8244 0.0760
V: 0.8250 0.8250 0.5666
O: 0.0747 0.0747 0.6978
O: 0.2491 0.2491 0.1192
O: 0.2602 0.2602 0.6241
O: 0.3989 0.3989 0.0238
O: 0.3994 0.3994 0.5242
O: 0.7480 0.7480 0.3659
O: 0.7477 0.7477 0.8715
O: 0.9011 0.9011 0.2763
F: 0.0739 0.0739 0.1981
F: 0.5723 0.5723 0.9582
F: 0.5766 0.5766 0.4393
F: 0.9015 0.9015 0.7874

The 6 most intense peaks (2θ from 10° to 90°), by intensity:
- 12.03°, rel. 100
- 42.31°, rel. 48
- 24.19°, rel. 30
- 42.81°, rel. 22
- 34.31°, rel. 16
- 61.71°, rel. 12

# 3
For LiV4OF11, a cell relaxed with PBE+U gives the theoretical X-ray diffraction stick pattern in this record (a wavelength of 1.5418 Å).
Kinematic intensities with the Lorentz-polarization factor, no thermal factor.

Unit cell a=5.5625 b=5.5625 c=17.5218 alpha=101.57 beta=101.57 gamma=55.79
Element x y z (fractional)
Li: 0.1693 0.1693 0.3540
Li: 0.8307 0.8307 0.6460
V: 0.0789 0.0323 0.1876
V: 0.1882 0.1801 0.5617
V: 0.3323 0.2951 0.9381
V: 0.4280 0.4610 0.3059
V: 0.5390 0.5720 0.6941
V: 0.7049 0.6677 0.0619
V: 0.8199 0.8118 0.4383
V: 0.9677 0.9211 0.8124
O: 0.1645 0.7710 0.7192
O: 0.2290 0.8355 0.2808
F: 0.0056 0.7385 0.1243
F: 0.1350 0.3469 0.2599
F: 0.1662 0.5243 0.8474
F: 0.2148 0.5820 0.4061
F: 0.2615 0.9944 0.8757
F: 0.3973 0.0362 0.4650
F: 0.4097 0.5903 0.0000
F: 0.4180 0.7852 0.5939
F: 0.4757 0.8338 0.1526
F: 0.4932 0.0641 0.0282
F: 0.5076 0.2277 0.6207
F: 0.6414 0.0471 0.3515
F: 0.6531 0.8650 0.7401
F: 0.6679 0.2596 0.2211
F: 0.7282 0.0792 0.9009
F: 0.7404 0.3321 0.7789
F: 0.7723 0.4924 0.3793
F: 0.8891 0.1109 0.5000
F: 0.9208 0.2718 0.0991
F: 0.9359 0.5068 0.9718
F: 0.9529 0.3586 0.6485
F: 0.9638 0.6027 0.5350

The 6 most intense peaks (2θ from 10° to 90°), by intensity:
- 23.60°, rel. 100
- 23.28°, rel. 51
- 32.30°, rel. 21
- 48.29°, rel. 18
- 61.72°, rel. 18
- 52.30°, rel. 16

# 4
For Li3V4O3F9, a cell relaxed with PBE+U gives the theoretical X-ray diffraction stick pattern in this record (a wavelength of 1.5418 Å).
Kinematic intensities with the Lorentz-polarization factor, no thermal factor.

Unit cell a=5.2351 b=5.5148 c=8.9359 alpha=74.81 beta=89.62 gamma=62.46
Element x y z (fractional)
Li: 0.0000 0.0000 0.0000
Li: 0.2149 0.5337 0.7386
Li: 0.4994 0.0214 0.4905
V: 0.1584 0.6574 0.3885
V: 0.4063 0.1800 0.1490
V: 0.6799 0.6727 0.8887
V: 0.9133 0.1237 0.6396
O: 0.3665 0.4109 0.2696
O: 0.8713 0.8906 0.8345
O: 0.9203 0.8871 0.5215
F: 0.3652 0.8963 0.3359
F: 0.3703 0.8808 0.6947
F: 0.4059 0.9175 0.0137
F: 0.4665 0.3810 0.5870
F: 0.4736 0.4176 0.9439
F: 0.8432 0.9254 0.1918
F: 0.9350 0.3814 0.7761
F: 0.9736 0.3728 0.0724
F: 0.9811 0.3974 0.4694

The 6 most intense peaks (2θ from 10° to 90°), by intensity:
- 23.75°, rel. 100
- 23.15°, rel. 97
- 23.55°, rel. 93
- 32.23°, rel. 58
- 39.79°, rel. 32
- 52.93°, rel. 28